For Tm3Ir2, a cell relaxed with GGA-PBE gives the theoretical powder diffractogram in this record (Cu Kα (λ = 1.5418 Å)).
No peak broadening, texture or thermal motion is included.

Atomic structure:
```
data_Tm3Ir2
_chemical_formula_sum 'Tm12 Ir8'
_space_group_name_H-M_alt 'C m c m'
_space_group_IT_number 63
_space_group_name_Hall '-C 2c 2'
_cell_length_a 4.2716
_cell_length_b 10.8667
_cell_length_c 9.8772
_cell_angle_alpha 90.00
_cell_angle_beta 90.00
_cell_angle_gamma 90.00
loop_
_atom_site_label
_atom_site_fract_x
_atom_site_fract_y
_atom_site_fract_z
_atom_site_occupancy
Tm1 0.0000 0.0962 0.2500 1
Tm2 0.0000 0.3515 0.0639 1
Ir1 0.0000 0.0000 0.0000 1
Ir2 0.0000 0.1876 0.7500 1
```

Top 8 peaks for 10 to 80 degrees two-theta, by angle:
hkl, 2θ (°), I (rel.)
0 2 3, 31.78, 21
1 3 1, 33.69, 26
0 4 1, 34.23, 23
1 1 3, 35.40, 32
1 3 2, 37.29, 100
2 0 0, 42.32, 35
1 1 4, 43.13, 30
3 3 2, 74.09, 22